# 1
Structure and theoretical X-ray diffraction stick pattern of TmPt2 (a cell relaxed with GGA-PBE; Cu Kα X-rays).

Principal peaks in the range 5 to 70 degrees two-theta, by angle:
two_theta, Rel. int.
20.10, 9.6
33.11, 22.8
39.04, 100.0
40.85, 44.9
47.53, 7.0
52.10, 2.5
59.15, 8.8
63.13, 33.0
69.48, 29.5

Atomic structure:
Unit cell a=5.411 b=5.411 c=5.411 alpha=60.00 beta=60.00 gamma=60.00
Fractional positions:
Tm1 0.125 0.125 0.125
Tm2 0.875 0.875 0.875
Pt1 0.000 0.500 0.500
Pt2 0.500 0.000 0.500
Pt3 0.500 0.500 0.000
Pt4 0.500 0.500 0.500

# 2
Structure and theoretical X-ray diffraction stick pattern of Tm3Pt4 (a cell relaxed with GGA-PBE; Cu Kα X-rays).

Principal peaks in the range 5 to 70 degrees two-theta, by angle:
two_theta, Rel. int.
32.48, 33.0
35.30, 19.6
36.25, 100.0
37.96, 94.2
42.84, 21.6
47.33, 15.4
51.51, 10.8
53.48, 16.2
66.29, 19.2
66.35, 11.0

Atomic structure:
Unit cell a=7.805 b=7.805 c=7.805 alpha=114.30 beta=114.30 gamma=114.30
Fractional positions:
Tm1 0.026 0.281 0.403
Tm2 0.281 0.403 0.026
Tm3 0.403 0.026 0.281
Tm4 0.597 0.974 0.719
Tm5 0.719 0.597 0.974
Tm6 0.974 0.719 0.597
Pt1 0.000 0.000 0.000
Pt2 0.061 0.552 0.225
Pt3 0.225 0.061 0.552
Pt4 0.448 0.775 0.939
Pt5 0.500 0.500 0.500
Pt6 0.552 0.225 0.061
Pt7 0.775 0.939 0.448
Pt8 0.939 0.448 0.775

# 3
Structure and theoretical X-ray diffraction stick pattern of TmPt (a cell relaxed with GGA-PBE; Cu Kα X-rays).

Principal peaks in the range 5 to 70 degrees two-theta, by angle:
two_theta, Rel. int.
28.77, 17.3
32.70, 73.7
34.64, 46.7
36.55, 100.0
40.36, 89.3
40.81, 49.4
42.11, 20.7
54.57, 25.8
55.19, 28.3
60.09, 17.6

Atomic structure:
Unit cell a=6.975 b=4.423 c=5.578 alpha=90.00 beta=90.00 gamma=90.00
Fractional positions:
Tm1 0.181 0.250 0.142
Tm2 0.319 0.750 0.642
Tm3 0.681 0.250 0.358
Tm4 0.819 0.750 0.858
Pt1 0.045 0.250 0.658
Pt2 0.455 0.750 0.158
Pt3 0.545 0.250 0.842
Pt4 0.955 0.750 0.342

# 4
Structure and theoretical X-ray diffraction stick pattern of Tm3Pt (a cell relaxed with GGA-PBE; Cu Kα X-rays).

Principal peaks in the range 5 to 70 degrees two-theta, by angle:
two_theta, Rel. int.
30.74, 24.5
31.68, 41.4
32.04, 100.0
33.69, 26.7
34.27, 37.0
34.98, 37.5
36.16, 22.3
38.64, 27.7
48.37, 23.0
58.80, 21.2

Atomic structure:
Unit cell a=6.947 b=9.426 c=6.445 alpha=90.00 beta=90.00 gamma=90.00
Fractional positions:
Tm1 0.026 0.250 0.131
Tm2 0.181 0.061 0.680
Tm3 0.181 0.439 0.680
Tm4 0.319 0.561 0.180
Tm5 0.319 0.939 0.180
Tm6 0.474 0.750 0.631
Tm7 0.526 0.250 0.369
Tm8 0.681 0.061 0.820
Tm9 0.681 0.439 0.820
Tm10 0.819 0.561 0.320
Tm11 0.819 0.939 0.320
Tm12 0.974 0.750 0.869
Pt1 0.110 0.750 0.452
Pt2 0.390 0.250 0.952
Pt3 0.610 0.750 0.048
Pt4 0.890 0.250 0.548

# 5
Structure and theoretical X-ray diffraction stick pattern of Tm4Pt (a cell relaxed with GGA-PBE; Cu Kα X-rays).

Principal peaks in the range 5 to 70 degrees two-theta, by angle:
two_theta, Rel. int.
23.13, 28.1
27.19, 8.6
28.42, 100.0
32.94, 23.8
35.99, 31.4
43.22, 29.2
47.27, 55.7
56.08, 33.9
60.81, 9.7
64.06, 9.7

Atomic structure:
Unit cell a=7.692 b=7.692 c=7.692 alpha=60.00 beta=60.00 gamma=60.00
Fractional positions:
Tm1 0.206 0.765 0.765
Tm2 0.235 0.235 0.235
Tm3 0.235 0.235 0.794
Tm4 0.235 0.794 0.235
Tm5 0.765 0.206 0.765
Tm6 0.765 0.765 0.206
Tm7 0.765 0.765 0.765
Tm8 0.794 0.235 0.235
Pt1 0.375 0.375 0.375
Pt2 0.625 0.625 0.625

# 6
Structure and theoretical X-ray diffraction stick pattern of UPt2 (a cell relaxed with GGA-PBE; Cu Kα X-rays).

Principal peaks in the range 5 to 70 degrees two-theta, by angle:
two_theta, Rel. int.
31.58, 9.9
34.84, 100.0
36.59, 30.7
39.59, 75.9
43.62, 29.9
47.72, 9.8
49.00, 25.2
56.00, 9.8
58.21, 17.0
67.67, 19.5

Atomic structure:
Unit cell a=4.150 b=9.852 c=5.666 alpha=90.00 beta=90.00 gamma=90.00
Fractional positions:
U1 0.000 0.171 0.250
U2 0.000 0.829 0.750
U3 0.500 0.329 0.750
U4 0.500 0.671 0.250
Pt1 0.000 0.137 0.750
Pt2 0.000 0.500 0.000
Pt3 0.000 0.500 0.500
Pt4 0.000 0.863 0.250
Pt5 0.500 0.000 0.000
Pt6 0.500 0.000 0.500
Pt7 0.500 0.363 0.250
Pt8 0.500 0.637 0.750

# 7
Structure and theoretical X-ray diffraction stick pattern of U3Pt (a cell relaxed with GGA-PBE; Cu Kα X-rays).

Principal peaks in the range 5 to 70 degrees two-theta, by angle:
two_theta, Rel. int.
37.48, 100.0
54.05, 17.8
67.63, 37.5

Atomic structure:
Unit cell a=6.787 b=6.787 c=6.787 alpha=90.00 beta=90.00 gamma=90.00
Fractional positions:
U1 0.000 0.000 0.000
U2 0.000 0.500 0.500
U3 0.250 0.250 0.250
U4 0.250 0.250 0.750
U5 0.250 0.750 0.250
U6 0.250 0.750 0.750
U7 0.500 0.000 0.500
U8 0.500 0.500 0.000
U9 0.750 0.250 0.250
U10 0.750 0.250 0.750
U11 0.750 0.750 0.250
U12 0.750 0.750 0.750
Pt1 0.000 0.000 0.500
Pt2 0.000 0.500 0.000
Pt3 0.500 0.000 0.000
Pt4 0.500 0.500 0.500

# 8
Structure and theoretical X-ray diffraction stick pattern of UPt3 (a cell relaxed with GGA-PBE; Cu Kα X-rays).

Principal peaks in the range 5 to 70 degrees two-theta, by angle:
two_theta, Rel. int.
25.19, 0.8
35.92, 53.2
40.32, 100.0
51.71, 16.6
64.52, 17.1
67.56, 22.6

Atomic structure:
Unit cell a=5.777 b=5.777 c=4.998 alpha=90.00 beta=90.00 gamma=120.00
Fractional positions:
U1 0.333 0.667 0.250
U2 0.667 0.333 0.750
Pt1 0.165 0.330 0.750
Pt2 0.165 0.835 0.750
Pt3 0.330 0.165 0.250
Pt4 0.670 0.835 0.750
Pt5 0.835 0.165 0.250
Pt6 0.835 0.670 0.250

# 9
Structure and theoretical X-ray diffraction stick pattern of UPt5 (a cell relaxed with GGA-PBE; Cu Kα X-rays).

Principal peaks in the range 5 to 70 degrees two-theta, by angle:
two_theta, Rel. int.
20.53, 3.2
33.83, 29.6
39.89, 100.0
41.75, 37.4
48.59, 3.7
53.28, 0.8
60.52, 11.5
64.62, 33.1

Atomic structure:
Unit cell a=5.300 b=5.300 c=5.300 alpha=60.00 beta=60.00 gamma=60.00
Fractional positions:
U1 0.000 0.000 0.000
Pt1 0.375 0.375 0.375
Pt2 0.375 0.375 0.874
Pt3 0.375 0.874 0.375
Pt4 0.750 0.750 0.750
Pt5 0.874 0.375 0.375

# 10
Structure and theoretical X-ray diffraction stick pattern of V3Pt (a cell relaxed with GGA-PBE; Cu Kα X-rays).

Principal peaks in the range 5 to 70 degrees two-theta, by angle:
two_theta, Rel. int.
26.17, 76.8
37.35, 45.7
41.96, 22.0
46.18, 100.0
53.85, 11.6
60.83, 16.4
67.37, 0.6

Atomic structure:
Unit cell a=4.815 b=4.815 c=4.815 alpha=90.00 beta=90.00 gamma=90.00
Fractional positions:
V1 0.000 0.250 0.500
V2 0.000 0.750 0.500
V3 0.250 0.500 0.000
V4 0.500 0.000 0.250
V5 0.500 0.000 0.750
V6 0.750 0.500 0.000
Pt1 0.000 0.000 0.000
Pt2 0.500 0.500 0.500

# 11
Structure and theoretical X-ray diffraction stick pattern of VPt2 (a cell relaxed with GGA-PBE; Cu Kα X-rays).

Principal peaks in the range 5 to 70 degrees two-theta, by angle:
two_theta, Rel. int.
21.06, 17.0
25.56, 39.9
34.37, 19.1
39.78, 100.0
40.45, 96.7
46.23, 65.2
47.51, 30.5
60.42, 12.4
66.51, 10.6
68.44, 50.7

Atomic structure:
Unit cell a=2.744 b=3.828 c=8.435 alpha=90.00 beta=90.00 gamma=90.00
Fractional positions:
V1 0.000 0.000 0.000
V2 0.500 0.500 0.500
Pt1 0.000 0.000 0.340
Pt2 0.000 0.000 0.660
Pt3 0.500 0.500 0.160
Pt4 0.500 0.500 0.840

# 12
Structure and theoretical X-ray diffraction stick pattern of V3Pt (a cell relaxed with GGA-PBE; Cu Kα X-rays).

Principal peaks in the range 5 to 70 degrees two-theta, by angle:
two_theta, Rel. int.
23.19, 53.9
33.03, 45.4
40.75, 100.0
47.41, 47.9
53.43, 25.0
59.00, 18.8
69.31, 29.5

Atomic structure:
Unit cell a=3.835 b=3.835 c=3.835 alpha=90.00 beta=90.00 gamma=90.00
Fractional positions:
V1 0.000 0.000 0.500
V2 0.000 0.500 0.000
V3 0.500 0.000 0.000
Pt1 0.500 0.500 0.500

# 13
Structure and theoretical X-ray diffraction stick pattern of Pt3W (a cell relaxed with GGA-PBE; Cu Kα X-rays).

Principal peaks in the range 5 to 70 degrees two-theta, by angle:
two_theta, Rel. int.
39.37, 100.0
44.92, 17.3
46.21, 31.9
66.42, 21.9
67.42, 10.5

Atomic structure:
Unit cell a=3.929 b=3.929 c=8.072 alpha=90.00 beta=90.00 gamma=90.00
Fractional positions:
Pt1 0.000 0.000 0.000
Pt2 0.000 0.500 0.250
Pt3 0.000 0.500 0.750
Pt4 0.500 0.000 0.250
Pt5 0.500 0.000 0.750
Pt6 0.500 0.500 0.500
W1 0.000 0.000 0.500
W2 0.500 0.500 0.000

# 14
Structure and theoretical X-ray diffraction stick pattern of PtW (a cell relaxed with GGA-PBE; Cu Kα X-rays).

Principal peaks in the range 5 to 70 degrees two-theta, by angle:
two_theta, Rel. int.
39.08, 33.6
39.20, 100.0
45.55, 65.7
66.29, 21.7
66.47, 21.6

Atomic structure:
Unit cell a=2.813 b=2.813 c=13.830 alpha=90.00 beta=90.00 gamma=120.00
Fractional positions:
Pt1 0.000 0.000 0.000
Pt2 0.333 0.667 0.667
Pt3 0.667 0.333 0.333
W1 0.000 0.000 0.500
W2 0.333 0.667 0.167
W3 0.667 0.333 0.833

# 15
Structure and theoretical X-ray diffraction stick pattern of Y3Pt (a cell relaxed with GGA-PBE; Cu Kα X-rays).

Principal peaks in the range 5 to 70 degrees two-theta, by angle:
two_theta, Rel. int.
18.43, 100.0
20.66, 65.6
31.33, 47.2
31.55, 88.1
33.11, 53.8
33.53, 71.3
34.28, 52.7
37.78, 58.0
38.64, 48.1
41.74, 40.3

Atomic structure:
Unit cell a=7.083 b=9.650 c=6.534 alpha=90.00 beta=90.00 gamma=90.00
Fractional positions:
Y1 0.027 0.250 0.132
Y2 0.180 0.062 0.680
Y3 0.180 0.438 0.680
Y4 0.320 0.562 0.180
Y5 0.320 0.938 0.180
Y6 0.473 0.750 0.632
Y7 0.527 0.250 0.368
Y8 0.680 0.062 0.820
Y9 0.680 0.438 0.820
Y10 0.820 0.562 0.320
Y11 0.820 0.938 0.320
Y12 0.973 0.750 0.868
Pt1 0.111 0.750 0.451
Pt2 0.389 0.250 0.951
Pt3 0.611 0.750 0.049
Pt4 0.889 0.250 0.549